Starting from a cell relaxed with GGA-PBE, the X-ray diffraction stick pattern of Mg5Si6 was computed for Cu Kα X-rays.
Lines closer than 0.1° are merged.

Largest 6 diffraction maxima, most intense first, 5 to 70 degrees two-theta:
hkl  Position (°2θ)  Rel. int.
7 1 1  34.8  100
5 1 -2  36.5  88
0 2 0  44.6  74
9 1 -1  37.0  46
2 0 3  41.1  29
7 1 -2  39.2  24

Crystal structure
```
data_Mg5Si6
_cell_length_a 28.9175
_cell_length_b 4.0674
_cell_length_c 6.8481
_cell_angle_alpha 90.00
_cell_angle_beta 96.92
_cell_angle_gamma 90.00
_space_group_name_H-M_alt 'C 1 m 1'
_space_group_IT_number 8
_space_group_name_Hall 'C -2y'
loop_
_atom_site_label
_atom_site_fract_x
_atom_site_fract_y
_atom_site_fract_z
Mg1 0.0000 0.0000 0.0000
Mg2 0.0266 0.5000 0.3088
Mg3 0.0617 0.0000 0.6281
Mg4 0.1067 0.0000 0.1499
Mg5 0.1991 0.5000 0.2164
Mg6 0.2394 0.5000 0.7304
Mg7 0.2757 0.0000 0.0681
Mg8 0.3179 0.5000 0.4056
Mg9 0.3528 0.5000 0.9518
Mg10 0.4416 0.5000 0.3491
Si1 0.0558 0.5000 0.9291
Si2 0.1222 0.5000 0.4620
Si3 0.1319 0.5000 0.8281
Si4 0.1722 0.0000 0.5316
Si5 0.1816 0.0000 0.9005
Si6 0.2486 0.0000 0.4290
Si7 0.3079 0.0000 0.7075
Si8 0.3697 0.0000 0.2387
Si9 0.3852 0.0000 0.6011
Si10 0.4274 0.5000 0.7331
Si11 0.4344 0.0000 0.0485
Si12 0.4894 0.0000 0.6639
```



Starting from a cell relaxed with GGA-PBE, the X-ray diffraction stick pattern of Mg4Si7 was computed for Cu Kα X-rays.
Lines closer than 0.1° are merged.

Largest 6 diffraction maxima, most intense first, 5 to 70 degrees two-theta:
hkl  Position (°2θ)  Rel. int.
1 1 -4  34.0  100
0 2 0  45.9  87
2 1 1  36.7  86
2 1 -3  37.0  85
1 1 4  38.1  79
0 1 5  38.4  52

Crystal structure
```
data_Mg4Si7
_cell_length_a 6.8591
_cell_length_b 3.9505
_cell_length_c 14.9375
_cell_angle_alpha 90.00
_cell_angle_beta 102.48
_cell_angle_gamma 90.00
_space_group_name_H-M_alt 'P 1 m 1'
_space_group_IT_number 6
_space_group_name_Hall 'P -2y'
loop_
_atom_site_label
_atom_site_fract_x
_atom_site_fract_y
_atom_site_fract_z
Mg1 0.0000 0.0000 0.0000
Mg2 0.0392 0.0000 0.7636
Mg3 0.0886 0.5000 0.1895
Mg4 0.4802 0.0000 0.9218
Mg5 0.5283 0.0000 0.6957
Mg6 0.5935 0.5000 0.2717
Mg7 0.6585 0.0000 0.4422
Mg8 0.7605 0.5000 0.8465
Si1 0.0004 0.0000 0.5673
Si2 0.1536 0.5000 0.8985
Si3 0.1904 0.5000 0.6302
Si4 0.2683 0.0000 0.4714
Si5 0.3166 0.0000 0.3019
Si6 0.3611 0.5000 0.7879
Si7 0.3625 0.5000 0.0462
Si8 0.3700 0.0000 0.1432
Si9 0.4676 0.5000 0.5461
Si10 0.7249 0.5000 0.0416
Si11 0.7461 0.0000 0.1482
Si12 0.7870 0.5000 0.6544
Si13 0.9567 0.5000 0.4103
Si14 0.9579 0.0000 0.3044
```